Structure and calculated powder XRD pattern of Sc3As2 (a structure optimized by DFT (GGA-PBE); a wavelength of 1.5418 Å).
Kinematic intensities with the Lorentz-polarization factor, no thermal factor.

Top 10 peaks for 2θ = 10–80°, by angle:
| h k l | Position (°2θ) | I (rel.) |
| --- | --- | --- |
| 2 2 0 | 24.31 | 22 |
| 3 1 0 | 27.24 | 23 |
| 2 1 1 | 30.12 | 100 |
| 3 0 1 | 34.85 | 75 |
| 3 1 1 | 35.95 | 32 |
| 4 2 0 | 38.90 | 68 |
| 3 2 1 | 39.08 | 50 |
| 1 4 1 | 42.95 | 77 |
| 0 0 2 | 47.03 | 41 |
| 4 2 2 | 62.62 | 30 |

Atomic structure:
Lattice parameters (Å, degrees): 10.3543 10.3543 3.8641 90.00 90.00 90.00
Space group P4/m (No. 83)
Inequivalent atoms, fractional coordinates:
Sc (0.0000, 0.0000, 0.0000) (multiplicity 1)
Sc (0.0000, 0.5000, 0.0000) (multiplicity 2)
Sc (0.1034, 0.7800, 0.5000) (multiplicity 4)
Sc (0.3117, 0.3597, 0.0000) (multiplicity 4)
Sc (0.5000, 0.5000, 0.5000) (multiplicity 1)
As (0.0827, 0.2459, 0.0000) (multiplicity 4)
As (0.2219, 0.5442, 0.5000) (multiplicity 4)



Structure and calculated powder XRD pattern of ScAs (a structure optimized by DFT (GGA-PBE); a wavelength of 1.5418 Å).
Kinematic intensities with the Lorentz-polarization factor, no thermal factor.

Top 7 peaks for 2θ = 10–80°, by angle:
| h k l | Position (°2θ) | I (rel.) |
| --- | --- | --- |
| 1 0 0 | 26.24 | 9 |
| 1 1 0 | 37.45 | 100 |
| 1 1 1 | 46.31 | 3 |
| 2 0 0 | 54.01 | 17 |
| 2 1 0 | 61.01 | 4 |
| 2 1 1 | 67.57 | 33 |
| 2 2 0 | 79.90 | 10 |

Atomic structure:
Lattice parameters (Å, degrees): 3.3957 3.3957 3.3957 90.00 90.00 90.00
Space group Pm-3m (No. 221)
Inequivalent atoms, fractional coordinates:
Sc (0.0000, 0.0000, 0.0000) (multiplicity 1)
As (0.5000, 0.5000, 0.5000) (multiplicity 1)



Structure and calculated powder XRD pattern of Sc3As (a structure optimized by DFT (GGA-PBE); a wavelength of 1.5418 Å).
Kinematic intensities with the Lorentz-polarization factor, no thermal factor.

Top 10 peaks for 2θ = 10–80°, by angle:
| h k l | Position (°2θ) | I (rel.) |
| --- | --- | --- |
| 1 0 0 | 16.65 | 5 |
| 1 0 1 | 24.63 | 6 |
| 2 0 0 | 33.67 | 24 |
| 0 0 2 | 36.49 | 26 |
| 2 0 1 | 38.45 | 100 |
| 2 0 2 | 50.50 | 14 |
| 2 2 0 | 60.23 | 16 |
| 2 0 3 | 66.98 | 17 |
| 2 2 2 | 72.51 | 18 |
| 4 0 1 | 73.75 | 13 |

Atomic structure:
Lattice parameters (Å, degrees): 6.1464 6.1464 4.9242 90.00 90.00 120.00
Space group P6_3/mmc (No. 194)
Inequivalent atoms, fractional coordinates:
Sc (0.1712, 0.3423, 0.2500) (multiplicity 6)
As (0.3333, 0.6667, 0.7500) (multiplicity 2)



Structure and calculated powder XRD pattern of ScAs (a structure optimized by DFT (GGA-PBE); a wavelength of 1.5418 Å).
Kinematic intensities with the Lorentz-polarization factor, no thermal factor.

Top 8 peaks for 2θ = 10–80°, by angle:
| h k l | Position (°2θ) | I (rel.) |
| --- | --- | --- |
| 1 1 1 | 28.16 | 13 |
| 2 0 0 | 32.62 | 100 |
| 2 2 0 | 46.81 | 70 |
| 3 1 1 | 55.52 | 7 |
| 2 2 2 | 58.22 | 24 |
| 4 0 0 | 68.35 | 11 |
| 3 3 1 | 75.49 | 3 |
| 4 2 0 | 77.81 | 29 |

Atomic structure:
Lattice parameters (Å, degrees): 5.4896 5.4896 5.4896 90.00 90.00 90.00
Space group Fm-3m (No. 225)
Inequivalent atoms, fractional coordinates:
Sc (0.0000, 0.0000, 0.0000) (multiplicity 4)
As (0.0000, 0.0000, 0.5000) (multiplicity 4)



Structure and calculated powder XRD pattern of Sc3As2 (a structure optimized by DFT (GGA-PBE); a wavelength of 1.5418 Å).
Kinematic intensities with the Lorentz-polarization factor, no thermal factor.

Top 10 peaks for 2θ = 10–80°, by angle:
| h k l | Position (°2θ) | I (rel.) |
| --- | --- | --- |
| 1 1 1 | 26.80 | 46 |
| 1 0 5 | 32.67 | 33 |
| 2 1 1 | 34.66 | 38 |
| 1 1 4 | 35.74 | 39 |
| 2 1 2 | 36.26 | 100 |
| 0 1 5 | 38.14 | 38 |
| 2 1 3 | 38.79 | 23 |
| 1 1 5 | 40.26 | 49 |
| 0 2 0 | 46.73 | 48 |
| 3 1 3 | 48.50 | 24 |

Atomic structure:
Lattice parameters (Å, degrees): 7.1345 3.8876 14.8457 90.00 90.00 90.00
Space group Pnma (No. 62)
Inequivalent atoms, fractional coordinates:
Sc (0.0010, 0.2500, 0.1040) (multiplicity 4)
Sc (0.1349, 0.7500, 0.4305) (multiplicity 4)
Sc (0.1695, 0.2500, 0.7237) (multiplicity 4)
As (0.1156, 0.2500, 0.2941) (multiplicity 4)
As (0.2439, 0.7500, 0.0430) (multiplicity 4)



Structure and calculated powder XRD pattern of As2Se (a structure optimized by DFT (GGA-PBE); a wavelength of 1.5418 Å).
Kinematic intensities with the Lorentz-polarization factor, no thermal factor.

Top 10 peaks for 2θ = 10–80°, by angle:
| h k l | Position (°2θ) | I (rel.) |
| --- | --- | --- |
| 2 0 0 | 25.23 | 18 |
| 2 1 1 | 33.02 | 100 |
| 1 1 2 | 38.42 | 12 |
| 2 0 2 | 42.63 | 33 |
| 3 2 1 | 49.63 | 31 |
| 4 0 0 | 51.81 | 21 |
| 1 0 3 | 53.39 | 12 |
| 3 1 2 | 53.66 | 9 |
| 4 2 2 | 69.26 | 15 |
| 5 2 1 | 74.57 | 9 |

Atomic structure:
Lattice parameters (Å, degrees): 7.0588 7.0588 5.3071 90.00 90.00 90.00
Space group I4_1/amd (No. 141, origin choice 2)
Inequivalent atoms, fractional coordinates:
As (0.0000, 0.0000, 0.0000) (multiplicity 8)
Se (0.0000, 0.2500, 0.3750) (multiplicity 4)



Structure and calculated powder XRD pattern of As4Se3 (a structure optimized by DFT (GGA-PBE); a wavelength of 1.5418 Å).
Kinematic intensities with the Lorentz-polarization factor, no thermal factor.

Top 10 peaks for 2θ = 10–80°, by angle:
| h k l | Position (°2θ) | I (rel.) |
| --- | --- | --- |
| 1 1 1 | 15.86 | 100 |
| 1 2 1 | 24.03 | 33 |
| 2 1 2 | 26.32 | 37 |
| 1 2 2 | 27.89 | 67 |
| 3 0 1 | 28.15 | 31 |
| 2 0 3 | 30.28 | 36 |
| 0 3 1 | 32.40 | 26 |
| 1 2 4 | 39.97 | 19 |
| 4 1 3 | 45.36 | 16 |
| 0 0 6 | 49.71 | 20 |

Atomic structure:
Lattice parameters (Å, degrees): 9.9304 8.5632 11.0107 90.00 90.00 90.00
Space group Pnma (No. 62)
Inequivalent atoms, fractional coordinates:
As (0.0098, 0.2500, 0.0738) (multiplicity 4)
As (0.1454, 0.6024, 0.7875) (multiplicity 8)
As (0.1602, 0.2500, 0.5577) (multiplicity 4)
Se (0.1057, 0.7500, 0.1152) (multiplicity 4)
Se (0.1678, 0.0381, 0.4137) (multiplicity 8)



Structure and calculated powder XRD pattern of Sm2AsSe (a structure optimized by DFT (GGA-PBE); a wavelength of 1.5418 Å).
Kinematic intensities with the Lorentz-polarization factor, no thermal factor.

Top 10 peaks for 2θ = 10–80°, by angle:
| h k l | Position (°2θ) | I (rel.) |
| --- | --- | --- |
| 1 1 2 | 26.00 | 18 |
| 2 0 0 | 30.11 | 100 |
| 2 2 0 | 43.11 | 74 |
| 3 1 2 | 51.07 | 6 |
| 2 2 4 | 53.48 | 26 |
| 4 0 0 | 62.67 | 8 |
| 2 0 8 | 70.91 | 11 |
| 4 2 0 | 71.08 | 22 |
| 2 2 8 | 78.94 | 8 |
| 4 2 4 | 79.08 | 17 |

Atomic structure:
Lattice parameters (Å, degrees): 5.9298 5.9298 11.8932 90.00 90.00 90.00
Space group I4_1/amd (No. 141, origin choice 2)
Inequivalent atoms, fractional coordinates:
Sm (0.0000, 0.2500, 0.1197) (multiplicity 8)
As (0.0000, 0.2500, 0.8750) (multiplicity 4)
Se (0.0000, 0.2500, 0.3750) (multiplicity 4)